# Ca4Cu5O10
Calculated X-ray diffraction stick pattern, Cu Kα, 1.54184 Å. Input: a cell relaxed with PBE.
Peak positions follow from Bragg's law for the DFT cell and can differ from measured ones.

Peak list (10 most intense, 2θ from 15° to 90°, in order of falling intensity)
d/Å, 2theta, intensity
2.780, 32.20, 1000
2.081, 43.50, 646
2.667, 33.60, 333
5.339, 16.61, 303
1.641, 56.04, 296
2.494, 36.02, 296
3.256, 27.39, 290
1.544, 59.92, 166
2.016, 44.97, 159
3.074, 29.04, 158

```
data_Ca4Cu5O10
_chemical_formula_sum 'Ca8 Cu10 O20'
_symmetry_space_group_name_H-M 'P 1'
_symmetry_Int_Tables_number 1
_cell_length_a 8.783
_cell_length_b 8.783
_cell_length_c 6.512
_cell_angle_alpha 90.00
_cell_angle_beta 90.00
_cell_angle_gamma 105.14
loop_
_symmetry_equiv_pos_as_xyz
'x,y,z'
loop_
_atom_site_label
_atom_site_fract_x
_atom_site_fract_y
_atom_site_fract_z
_atom_site_occupancy
Ca1 0.061 0.439 0.750 1
Ca2 0.185 0.315 0.250 1
Ca3 0.315 0.185 0.750 1
Ca4 0.439 0.061 0.250 1
Ca5 0.561 0.939 0.750 1
Ca6 0.685 0.815 0.250 1
Ca7 0.815 0.685 0.750 1
Ca8 0.939 0.561 0.250 1
Cu1 0.000 0.000 0.000 1
Cu2 0.102 0.898 0.520 1
Cu3 0.202 0.798 0.034 1
Cu4 0.298 0.702 0.534 1
Cu5 0.398 0.602 0.020 1
Cu6 0.500 0.500 0.500 1
Cu7 0.602 0.398 0.980 1
Cu8 0.702 0.298 0.466 1
Cu9 0.798 0.202 0.966 1
Cu10 0.898 0.102 0.480 1
O1 0.023 0.217 0.967 1
O2 0.070 0.676 0.555 1
O3 0.116 0.116 0.500 1
O4 0.176 0.570 0.055 1
O5 0.217 0.023 0.033 1
O6 0.283 0.477 0.533 1
O7 0.324 0.930 0.555 1
O8 0.384 0.384 0.000 1
O9 0.430 0.824 0.055 1
O10 0.477 0.283 0.467 1
O11 0.523 0.717 0.533 1
O12 0.570 0.176 0.945 1
O13 0.616 0.616 0.000 1
O14 0.676 0.070 0.445 1
O15 0.717 0.523 0.467 1
O16 0.783 0.977 0.967 1
O17 0.824 0.430 0.945 1
O18 0.884 0.884 0.500 1
O19 0.930 0.324 0.445 1
O20 0.977 0.783 0.033 1
```